This entry pairs a crystal structure of Tb4Er4Mg with its calculated PXRD pattern. Radiation: Cu Kα X-rays. Structure: a DFT-relaxed cell (PBE, Alexandria).

Cell and atoms:
Lattice parameters (Å, degrees): 7.812 7.812 7.812 95.86 95.86 142.73
Positions (direct):
Tb 0.167 0.167 0.334
Tb 0.167 0.833 0.000
Tb 0.833 0.167 0.000
Tb 0.833 0.833 0.666
Er 0.166 0.500 0.666
Er 0.500 0.166 0.666
Er 0.500 0.834 0.334
Er 0.834 0.500 0.334
Mg 0.500 0.500 0.000

Main lines, by angle (10 to 90 degrees two-theta):
- 12.0°, rel. 6.0
- 31.3°, rel. 100.0
- 36.0°, rel. 17.2
- 36.4°, rel. 33.3
- 52.1°, rel. 24.0
- 52.4°, rel. 11.8
- 61.8°, rel. 14.4
- 62.3°, rel. 28.0
- 65.2°, rel. 12.2
- 85.2°, rel. 11.9
- 85.8°, rel. 5.9
- 87.6°, rel. 5.6

=====

This entry pairs a crystal structure of Rb4IrBr2 with its calculated PXRD pattern. Radiation: Cu Kα X-rays. Structure: a DFT-relaxed cell (PBE, Alexandria).

Cell and atoms:
Lattice parameters (Å, degrees): 10.133 10.133 10.133 144.90 144.90 50.48
Positions (direct):
Rb 0.000 0.500 0.500
Rb 0.176 0.176 0.000
Rb 0.500 0.000 0.500
Rb 0.824 0.824 0.000
Ir 0.000 0.000 0.000
Br 0.359 0.359 0.000
Br 0.641 0.641 0.000

Main lines, by angle (10 to 90 degrees two-theta):
- 15.3°, rel. 34.8
- 20.6°, rel. 61.9
- 28.4°, rel. 52.8
- 29.2°, rel. 100.0
- 30.8°, rel. 13.1
- 36.0°, rel. 21.2
- 41.2°, rel. 30.1
- 41.8°, rel. 68.6
- 51.8°, rel. 22.2
- 65.6°, rel. 15.1
- 68.7°, rel. 26.6
- 76.3°, rel. 17.8

=====

Copy entry 2 word for word.
This entry pairs a crystal structure of Rb4IrBr2 with its calculated PXRD pattern. Radiation: Cu Kα X-rays. Structure: a DFT-relaxed cell (PBE, Alexandria).

Cell and atoms:
Lattice parameters (Å, degrees): 10.133 10.133 10.133 144.90 144.90 50.48
Positions (direct):
Rb 0.000 0.500 0.500
Rb 0.176 0.176 0.000
Rb 0.500 0.000 0.500
Rb 0.824 0.824 0.000
Ir 0.000 0.000 0.000
Br 0.359 0.359 0.000
Br 0.641 0.641 0.000

Main lines, by angle (10 to 90 degrees two-theta):
- 15.3°, rel. 34.8
- 20.6°, rel. 61.9
- 28.4°, rel. 52.8
- 29.2°, rel. 100.0
- 30.8°, rel. 13.1
- 36.0°, rel. 21.2
- 41.2°, rel. 30.1
- 41.8°, rel. 68.6
- 51.8°, rel. 22.2
- 65.6°, rel. 15.1
- 68.7°, rel. 26.6
- 76.3°, rel. 17.8